This entry pairs a crystal structure of AcPm5Y5 with its calculated powder XRD pattern. Radiation: λ = 1.5418 Å (Cu Kα). Structure: a crystal structure in Alexandria, relaxed with PBE.
Peak positions follow from Bragg's law for the DFT cell and can differ from measured ones.

Largest 10 diffraction maxima, in order of rising 2θ, 2θ from 10° to 90°:
Position (°2θ), d/Å, Rel. int., (hkl)
27.96, 3.191, 100, 1 0 3
28.70, 3.111, 86, 1 1 0
29.69, 3.009, 31, 1 1 1
34.48, 2.601, 20, 1 0 4
36.74, 2.446, 21, 1 1 3
40.50, 2.227, 16, 2 0 3
50.39, 1.811, 40, 2 1 3
50.84, 1.796, 18, 3 0 0
59.43, 1.555, 20, 2 2 0
66.93, 1.398, 17, 3 1 3

```
AcPm5Y5
1.0
6.221 0.000 0.000
-3.111 5.388 0.000
0.000 0.000 11.881
Ac Pm Y
1 5 5
Cartesian
0.000 0.000 0.000 Ac
0.000 0.000 3.897 Pm
0.000 0.000 7.985 Pm
0.000 3.592 1.876 Pm
0.000 3.592 10.006 Pm
3.111 1.796 0.000 Pm
3.111 0.007 5.941 Y
1.561 2.690 5.941 Y
3.111 1.796 3.120 Y
3.111 1.796 8.761 Y
4.660 2.690 5.941 Y
```